# TlInAg2S4
Theoretical X-ray powder pattern, a wavelength of 1.5418 Å. Input: DFT lattice parameters and positions (GGA-PBE).
No peak broadening, texture or thermal motion is included.

Atomic structure:
Cell: 7.1853 7.1853 7.1853 Å, 131.04 131.04 71.76°
Fractional positions:
Tl: 0.0000 0.0000 0.0000
In: 0.7500 0.2500 0.5000
Ag: 0.2500 0.7500 0.5000
Ag: 0.5000 0.5000 0.0000
S: 0.1200 0.6153 0.9912
S: 0.3847 0.3758 0.5047
S: 0.6242 0.1288 0.0088
S: 0.8712 0.8800 0.4953

Most intense lines, 15 to 90 degrees two-theta, most intense first:
d (Å), Rel. int.
3.412, 100
2.082, 36
1.792, 31
2.105, 19
2.978, 19
1.763, 15
1.211, 12
1.351, 12

=====

# ZnInAg2S4
Theoretical X-ray powder pattern, a wavelength of 1.5418 Å. Input: DFT lattice parameters and positions (GGA-PBE).
No peak broadening, texture or thermal motion is included.

Atomic structure:
Cell: 6.9059 6.9059 6.9059 Å, 130.37 130.37 72.82°
Fractional positions:
Zn: 0.0000 0.0000 0.0000
In: 0.2500 0.7500 0.5000
Ag: 0.5000 0.5000 0.0000
Ag: 0.7500 0.2500 0.5000
S: 0.1194 0.1153 0.4736
S: 0.3542 0.8806 0.9960
S: 0.6417 0.6458 0.5264
S: 0.8847 0.3583 0.0040

Most intense lines, 15 to 90 degrees two-theta, most intense first:
d (Å), Rel. int.
3.299, 100
2.006, 37
1.741, 29
2.050, 20
2.899, 15
1.688, 13
1.175, 12
1.303, 11

=====

# In2AgSb
Theoretical X-ray powder pattern, a wavelength of 1.5418 Å. Input: DFT lattice parameters and positions (GGA-PBE).
No peak broadening, texture or thermal motion is included.

Atomic structure:
Cell: 3.3110 3.3110 9.0888 Å, 90.00 90.00 91.12°
Fractional positions:
In: 0.0000 0.0000 0.0000
In: 0.5000 0.5000 0.2771
Ag: 0.5000 0.5000 0.7856
Sb: 0.0000 0.0000 0.5613

Most intense lines, 15 to 90 degrees two-theta, most intense first:
d (Å), Rel. int.
2.676, 100
2.364, 19
2.318, 18
1.418, 13
1.398, 13
2.272, 12
1.655, 12
1.338, 9

=====

# In2Ag8Sb
Theoretical X-ray powder pattern, a wavelength of 1.5418 Å. Input: DFT lattice parameters and positions (GGA-PBE).
No peak broadening, texture or thermal motion is included.

Atomic structure:
Cell: 7.6172 7.6172 5.1343 Å, 101.81 101.81 122.34°
Fractional positions:
In: 0.1950 0.8050 0.0000
In: 0.8050 0.1950 0.0000
Ag: 0.0781 0.0781 0.2928
Ag: 0.1756 0.4012 0.8206
Ag: 0.2828 0.7172 0.5000
Ag: 0.4012 0.1756 0.8206
Ag: 0.5988 0.8244 0.1794
Ag: 0.7172 0.2828 0.5000
Ag: 0.8244 0.5988 0.1794
Ag: 0.9219 0.9219 0.7072
Sb: 0.5000 0.5000 0.5000

Most intense lines, 15 to 90 degrees two-theta, most intense first:
d (Å), Rel. int.
2.346, 100
2.355, 68
2.404, 66
2.609, 41
2.457, 36
2.711, 34
2.513, 33
3.132, 28

=====

# In2Ag3SbSe6
Theoretical X-ray powder pattern, a wavelength of 1.5418 Å. Input: DFT lattice parameters and positions (GGA-PBE).
No peak broadening, texture or thermal motion is included.

Atomic structure:
Cell: 4.0297 4.0297 19.9807 Å, 90.00 90.00 120.00°
Fractional positions:
In: 0.3333 0.6667 0.1654
In: 0.6667 0.3333 0.8346
Ag: 0.0000 0.0000 0.0000
Ag: 0.3333 0.6667 0.6711
Ag: 0.6667 0.3333 0.3289
Sb: 0.0000 0.0000 0.5000
Se: 0.0000 0.0000 0.2481
Se: 0.0000 0.0000 0.7519
Se: 0.3333 0.6667 0.4140
Se: 0.3333 0.6667 0.9139
Se: 0.6667 0.3333 0.0861
Se: 0.6667 0.3333 0.5860

Most intense lines, 15 to 90 degrees two-theta, most intense first:
d (Å), Rel. int.
2.861, 100
2.031, 36
2.015, 36
1.647, 19
1.275, 16
1.283, 15
1.166, 12
1.430, 11

=====

# InAg2SbSe4
Theoretical X-ray powder pattern, a wavelength of 1.5418 Å. Input: DFT lattice parameters and positions (GGA-PBE).
No peak broadening, texture or thermal motion is included.

Atomic structure:
Cell: 7.0704 7.0704 7.0704 Å, 132.47 132.47 69.48°
Fractional positions:
In: 0.0000 0.0000 0.0000
Ag: 0.2500 0.7500 0.5000
Ag: 0.5000 0.5000 0.0000
Sb: 0.7500 0.2500 0.5000
Se: 0.2443 0.2443 0.0000
Se: 0.5019 0.0019 0.5000
Se: 0.7557 0.7557 0.0000
Se: 0.9981 0.4981 0.5000

Most intense lines, 15 to 90 degrees two-theta, most intense first:
d (Å), Rel. int.
2.849, 100
2.034, 74
2.905, 52
1.655, 38
2.015, 36
1.167, 24
1.294, 16
1.279, 16

=====

# InAg7Sn2Sb2
Theoretical X-ray powder pattern, a wavelength of 1.5418 Å. Input: DFT lattice parameters and positions (GGA-PBE).
No peak broadening, texture or thermal motion is included.

Atomic structure:
Cell: 4.0824 4.0824 16.1394 Å, 96.83 96.83 89.87°
Fractional positions:
In: 0.0000 0.0000 0.0000
Ag: 0.0685 0.5685 0.1401
Ag: 0.2695 0.2695 0.5375
Ag: 0.4315 0.9315 0.8599
Ag: 0.5000 0.5000 0.0000
Ag: 0.5685 0.0685 0.1401
Ag: 0.7305 0.7305 0.4625
Ag: 0.9315 0.4315 0.8599
Sn: 0.3610 0.3610 0.7203
Sn: 0.6390 0.6390 0.2797
Sb: 0.1813 0.1813 0.3631
Sb: 0.8187 0.8187 0.6369

Most intense lines, 15 to 90 degrees two-theta, most intense first:
d (Å), Rel. int.
2.041, 100
2.533, 61
2.351, 60
2.837, 46
2.334, 41
2.369, 40
2.887, 34
2.550, 31

=====

# ScIn3Ag
Theoretical X-ray powder pattern, a wavelength of 1.5418 Å. Input: DFT lattice parameters and positions (GGA-PBE).
No peak broadening, texture or thermal motion is included.

Atomic structure:
Cell: 3.2765 4.5934 8.0021 Å, 90.21 90.02 90.08°
Fractional positions:
Sc: 0.0000 0.0000 0.0000
In: 0.4998 0.5004 0.1887
In: 0.5002 0.4999 0.8117
In: 0.4998 0.9918 0.5022
Ag: 0.9999 0.4912 0.4998

Most intense lines, 15 to 90 degrees two-theta, most intense first:
d (Å), Rel. int.
2.532, 100
2.221, 53
2.297, 40
2.667, 40
4.593, 32
2.527, 27
2.216, 18
3.022, 16

=====

- Number 6 is which compound?
  InAg2SbSe4